For YEr4Cd3, DFT lattice parameters and positions (PBE) gives the calculated XRD peak list in this record (copper Kα).
Peak positions follow from Bragg's law for the DFT cell and can differ from measured ones.

Main lines, in order of rising 2θ (10° ≤ 2θ ≤ 90°):
| (hkl) | Position (°2θ) | Rel. int. |
| --- | --- | --- |
| 0 1 8 | 33.03 | 88 |
| 1 1 0 | 33.85 | 100 |
| 2 0 8 | 48.02 | 31 |
| 1 0 16 | 58.44 | 12 |
| 1 2 8 | 60.04 | 31 |
| 3 0 0 | 60.57 | 18 |
| 2 2 0 | 71.23 | 11 |
| 3 1 8 | 80.78 | 13 |

abc: 5.2956 5.2956 26.9072
angles: 90.00 90.00 120.00
Space group R-3m (No. 166, hexagonal axes)
Asymmetric unit:
Y (0.0000, 0.0000, 0.0000)
Er (0.0000, 0.0000, 0.1298)
Er (0.0000, 0.0000, 0.3872)
Cd (0.0000, 0.0000, 0.2604)
Cd (0.0000, 0.0000, 0.5000)

=====

For Al6Ga5, DFT lattice parameters and positions (PBE) gives the calculated XRD peak list in this record (copper Kα).
Peak positions follow from Bragg's law for the DFT cell and can differ from measured ones.

Main lines, in order of rising 2θ (10° ≤ 2θ ≤ 90°):
| (hkl) | Position (°2θ) | Rel. int. |
| --- | --- | --- |
| 1 1 0 | 15.67 | 45 |
| 2 0 0 | 26.79 | 58 |
| 1 3 1 | 35.12 | 98 |
| 2 0 -2 | 36.34 | 98 |
| 0 4 1 | 37.57 | 100 |
| 3 1 0 | 41.57 | 38 |
| 2 4 -1 | 43.48 | 80 |
| 1 3 -3 | 55.72 | 52 |

abc: 6.9785 10.7209 5.5803
angles: 90.00 107.49 90.00
Space group C2/m (No. 12)
Asymmetric unit:
Al (0.1710, 0.0000, 0.2255)
Al (0.1811, 0.1284, 0.6884)
Ga (0.0000, 0.2344, 0.0000)
Ga (0.0000, 0.3551, 0.5000)
Ga (0.0000, 0.5000, 0.0000)

=====

For Dy3Ho2Zn3, DFT lattice parameters and positions (PBE) gives the calculated XRD peak list in this record (copper Kα).
Peak positions follow from Bragg's law for the DFT cell and can differ from measured ones.

Main lines, in order of rising 2θ (10° ≤ 2θ ≤ 90°):
| (hkl) | Position (°2θ) | Rel. int. |
| --- | --- | --- |
| 0 1 5 | 27.09 | 15 |
| 0 0 8 | 33.57 | 15 |
| 0 2 0 | 34.75 | 100 |
| 0 2 8 | 49.08 | 11 |
| 2 0 0 | 50.83 | 7 |
| 1 3 4 | 62.29 | 19 |
| 2 2 0 | 63.04 | 8 |
| 0 4 0 | 73.34 | 9 |

abc: 3.5923 5.1647 21.3559
angles: 90.00 90.00 90.00
Space group Immm (No. 71)
Asymmetric unit:
Dy (0.0000, 0.0000, 0.0000)
Dy (0.0000, 0.5000, 0.1184)
Ho (0.0000, 0.0000, 0.2289)
Zn (0.0000, 0.0000, 0.5000)
Zn (0.0000, 0.5000, 0.3845)

=====

For La3Sm2Y7, DFT lattice parameters and positions (PBE) gives the calculated XRD peak list in this record (copper Kα).
Peak positions follow from Bragg's law for the DFT cell and can differ from measured ones.

Main lines, in order of rising 2θ (10° ≤ 2θ ≤ 90°):
| (hkl) | Position (°2θ) | Rel. int. |
| --- | --- | --- |
| 0 0 6 | 27.62 | 24 |
| 1 1 1 | 28.95 | 49 |
| 1 -1 2 | 29.97 | 30 |
| 0 2 1 | 30.87 | 100 |
| 1 1 -2 | 31.52 | 66 |
| 0 1 -6 | 32.48 | 29 |
| 1 1 4 | 32.77 | 42 |
| -1 1 4 | 35.26 | 31 |

abc: 3.6450 5.8139 19.4960
angles: 86.75 84.67 90.00
Space group P-1 (No. 2)
Asymmetric unit:
La (0.0000, 0.0000, 0.0000)
La (0.3225, 0.2750, 0.3574)
Sm (0.1424, 0.2130, 0.7128)
Y (0.0852, 0.6938, 0.8279)
Y (0.2286, 0.2426, 0.5420)
Y (0.4302, 0.8111, 0.1410)
Y (0.5000, 0.5000, 0.0000)